This entry pairs a crystal structure of NbNi2N with its simulated PXRD pattern. Radiation: Cu Kα. Structure: the GGA-PBE geometry in Alexandria.
Intensities are scaled so that the largest is 100.

Largest 10 diffraction maxima, by angle, 10 to 80 degrees two-theta:
two_theta  d (Å)  intensity  hkl
30.6  2.924  15  1 1 1
37.5  2.400  19  0 4 0
40.7  2.215  100  1 3 1
41.1  2.197  26  0 0 2
42.1  2.145  42  2 0 0
47.5  1.916  22  1 1 2
57.6  1.600  16  0 6 0
60.3  1.535  15  2 0 2
73.2  1.293  11  0 6 2
76.0  1.252  26  3 3 1

Structure:
```
data_NbNi2N
_chemical_formula_sum 'Nb4 Ni8 N4'
_symmetry_space_group_name_H-M 'C m c 21'
_symmetry_Int_Tables_number 36
_cell_length_a 4.2897
_cell_length_b 9.6006
_cell_length_c 4.3935
_cell_angle_alpha 90.00
_cell_angle_beta 90.00
_cell_angle_gamma 90.00
loop_
_symmetry_equiv_pos_as_xyz
'x,y,z'
'-x,-y,z+1/2'
'-x,y,z'
'x,-y,z+1/2'
'x+1/2,y+1/2,z'
'-x+1/2,-y+1/2,z+1/2'
'-x+1/2,y+1/2,z'
'x+1/2,-y+1/2,z+1/2'
loop_
_atom_site_label
_atom_site_type_symbol
_atom_site_fract_x
_atom_site_fract_y
_atom_site_fract_z
Nb1 Nb 0.0000 0.2359 0.0000
Ni1 Ni 0.0000 0.0550 0.4645
Ni2 Ni 0.0000 0.4509 0.6150
N1 N 0.0000 0.2568 0.4982
```



This entry pairs a crystal structure of PmNb2NiN4 with its simulated PXRD pattern. Radiation: Cu Kα. Structure: the GGA-PBE geometry in Alexandria.
Intensities are scaled so that the largest is 100.

Largest 10 diffraction maxima, by angle, 10 to 80 degrees two-theta:
two_theta  d (Å)  intensity  hkl
29.9  2.993  76  0 2 3
33.0  2.711  30  0 0 4
33.4  2.685  100  1 1 2
33.6  2.669  51  0 4 0
38.6  2.335  52  1 3 1
41.3  2.188  77  1 3 2
54.2  1.692  24  1 5 2
57.1  1.614  21  2 0 0
57.4  1.607  26  1 3 5
57.7  1.597  32  0 6 3

Structure:
```
data_PmNb2NiN4
_chemical_formula_sum 'Pm4 Nb8 Ni4 N16'
_symmetry_space_group_name_H-M 'C m c m'
_symmetry_Int_Tables_number 63
_symmetry_space_group_name_Hall '-C 2c 2'
_cell_length_a 3.2287
_cell_length_b 10.6760
_cell_length_c 10.8446
_cell_angle_alpha 90.00
_cell_angle_beta 90.00
_cell_angle_gamma 90.00
loop_
_atom_site_label
_atom_site_type_symbol
_atom_site_fract_x
_atom_site_fract_y
_atom_site_fract_z
Pm1 Pm 0.0000 0.1068 0.2500
Nb1 Nb 0.0000 0.3693 0.0569
Ni1 Ni 0.0000 0.1616 0.7500
N1 N 0.0000 0.0000 0.0000
N2 N 0.0000 0.2728 0.6100
N3 N 0.0000 0.4461 0.2500
```